Li4NpSc3Se8: theoretical powder diffractogram (Cu Kα, 1.54184 Å), based on a PBE-relaxed structure.
No peak broadening, texture or thermal motion is included.

Structural model:
a = 7.8549 Å, b = 7.8549 Å, c = 19.3242 Å
α = 90.00°, β = 90.00°, γ = 120.00°
Space group R-3m (No. 166, hexagonal axes)
Inequivalent atoms, fractional coordinates:
Li1 0.0000 0.0000 0.0000 [3 per cell]
Li2 0.0000 0.5000 0.0000 [9 per cell]
Np1 0.0000 0.0000 0.5000 [3 per cell]
Sc1 0.0000 0.5000 0.5000 [9 per cell]
Se1 0.0000 0.0000 0.2470 [6 per cell]
Se2 0.0123 0.5061 0.7507 [18 per cell]

Main lines, in order of rising 2θ (2θ = 15–90°):
(hkl)	Position (°2θ)	intensity
0 1 2	15.93	17
1 1 0	22.61	15
0 2 1	26.59	36
0 2 4	32.19	100
2 0 8	46.09	36
2 2 0	46.23	35
4 0 4	57.45	18
2 2 12	76.50	16
2 4 4	76.71	15
4 2 8	85.58	12